1.
Diffraction record for Sm2PtBr3. The powder diffraction line list is calculated, not measured: it uses a crystal structure in Alexandria, relaxed with PBE and Cu Kα, 1.54184 Å.

Top 12 peaks for 2θ from 10° to 80°, sorted by position:
| 2θ (°) | d_spacing | I/Imax | h k l |
| --- | --- | --- | --- |
| 10.14 | 8.724 | 100 | 2 0 -1 |
| 24.74 | 3.598 | 57 | 1 1 1 |
| 25.87 | 3.444 | 33 | 1 1 -2 |
| 30.74 | 2.909 | 34 | 6 0 -3 |
| 31.54 | 2.836 | 32 | 1 1 -3 |
| 31.96 | 2.800 | 22 | 6 0 -1 |
| 36.19 | 2.482 | 27 | 3 1 -4 |
| 37.82 | 2.379 | 36 | 3 1 2 |
| 38.50 | 2.338 | 36 | 1 1 -4 |
| 41.63 | 2.169 | 42 | 5 1 1 |
| 42.93 | 2.107 | 30 | 0 2 0 |
| 43.18 | 2.095 | 22 | 7 1 -4 |

Crystal structure
Unit cell a=17.8537 b=4.2136 c=12.2912 alpha=90.00 beta=122.99 gamma=90.00
Space group C2/m (No. 12)
Unique sites:
Sm  0.1075  0.0000  0.4362 x4
Sm  0.1404  0.5000  0.8122 x4
Pt  0.0675  0.0000  0.6323 x4
Br  0.0464  0.5000  0.2343 x4
Br  0.1637  0.0000  0.0185 x4
Br  0.2341  0.5000  0.6148 x4

---

2.
Diffraction record for MgSc2V. The powder diffraction line list is calculated, not measured: it uses a crystal structure in Alexandria, relaxed with PBE and Cu Kα, 1.54184 Å.

Top 12 peaks for 2θ from 10° to 80°, sorted by position:
| 2θ (°) | d_spacing | I/Imax | h k l |
| --- | --- | --- | --- |
| 18.31 | 4.847 | 7 | 1 0 0 |
| 30.95 | 2.890 | 3 | 1 0 1 |
| 36.19 | 2.482 | 100 | 1 1 1 |
| 37.10 | 2.423 | 46 | 2 0 0 |
| 41.67 | 2.167 | 1 | 2 1 0 |
| 49.06 | 1.857 | 2 | 2 1 1 |
| 50.73 | 1.800 | 9 | 0 0 2 |
| 53.47 | 1.714 | 15 | 2 2 0 |
| 64.49 | 1.445 | 16 | 2 0 2 |
| 66.28 | 1.410 | 29 | 3 1 1 |
| 76.81 | 1.241 | 9 | 2 2 2 |
| 79.03 | 1.212 | 4 | 4 0 0 |

Crystal structure
Unit cell a=4.8466 b=4.8466 c=3.5994 alpha=90.00 beta=90.00 gamma=90.00
Space group P4/mmm (No. 123)
Unique sites:
Mg  0.0000  0.0000  0.0000 x1
Sc  0.0000  0.5000  0.5000 x2
V  0.5000  0.5000  0.0000 x1

---

3.
Diffraction record for CeTlPd. The powder diffraction line list is calculated, not measured: it uses a crystal structure in Alexandria, relaxed with PBE and Cu Kα, 1.54184 Å.

Top 12 peaks for 2θ from 10° to 80°, sorted by position:
| 2θ (°) | d_spacing | I/Imax | h k l |
| --- | --- | --- | --- |
| 32.16 | 2.783 | 100 | 3 1 1 |
| 32.27 | 2.774 | 25 | 0 1 2 |
| 32.91 | 2.721 | 35 | 1 1 2 |
| 34.00 | 2.637 | 41 | 4 0 2 |
| 34.20 | 2.622 | 17 | 1 0 3 |
| 34.66 | 2.588 | 38 | 4 1 0 |
| 34.79 | 2.579 | 37 | 2 1 2 |
| 38.62 | 2.331 | 23 | 6 0 0 |
| 38.88 | 2.316 | 31 | 3 0 3 |
| 41.55 | 2.174 | 18 | 4 1 2 |
| 47.23 | 1.924 | 33 | 0 2 0 |
| 62.92 | 1.477 | 22 | 7 1 3 |

Crystal structure
Unit cell a=13.9875 b=3.8487 c=8.0064 alpha=90.00 beta=90.00 gamma=90.00
Space group Pmma (No. 51)
Unique sites:
Ce  0.0487  0.0000  0.2283 x4
Ce  0.2500  0.0000  0.8446 x2
Tl  0.1140  0.5000  0.5712 x4
Tl  0.2500  0.5000  0.1834 x2
Pd  0.0946  0.5000  0.9356 x4
Pd  0.2500  0.0000  0.4488 x2